Starting from a structure optimized by DFT (PBE), the PXRD pattern of GdTm2Cd3Ir2Pt was computed for λ = 1.5418 Å (Cu Kα).

Main lines, sorted by position (10 to 80 degrees two-theta):
d/Å	Position (°2θ)	I_rel	(hkl)
3.740	23.79	14	0 3 1
2.707	33.10	81	1 0 2
2.497	35.96	100	1 2 2
2.450	36.67	22	0 5 1
2.163	41.76	16	0 6 0
2.157	41.88	32	0 3 3
2.078	43.55	25	1 5 1
2.074	43.64	11	1 1 3
1.961	46.29	26	2 0 0
1.531	60.48	15	2 5 1
1.452	64.15	27	2 3 3
1.391	67.33	23	1 8 2

Structural model:
Cell: 3.9227 12.9795 7.4647 Å, 90.00 90.00 90.00°
Space group Amm2 (No. 38)
Inequivalent atoms, fractional coordinates:
Gd: 0.0000 0.0000 0.0000 [2 per cell]
Tm: 0.0000 0.2033 0.3885 [4 per cell]
Cd: 0.5000 0.0000 0.3312 [2 per cell]
Cd: 0.5000 0.1296 0.7219 [4 per cell]
Ir: 0.5000 0.1691 0.0931 [4 per cell]
Pt: 0.0000 0.0000 0.5883 [2 per cell]

***

Starting from a structure optimized by DFT (PBE), the PXRD pattern of Ge4PdPt3 was computed for λ = 1.5418 Å (Cu Kα).

Main lines, sorted by position (10 to 80 degrees two-theta):
d/Å	Position (°2θ)	I_rel	(hkl)
3.187	28.00	62	0 1 1
3.109	28.72	17	0 0 2
2.918	30.63	23	2 0 0
2.797	32.00	24	1 1 1
2.206	40.90	59	1 1 2
2.152	41.98	100	2 1 1
2.128	42.48	33	2 0 -2
1.953	46.50	24	1 0 3
1.856	49.08	41	0 2 0
1.810	50.43	21	0 1 3
1.399	66.90	17	2 2 -2
1.327	71.05	16	4 1 -1

Structural model:
Cell: 5.8369 3.7117 6.2176 Å, 90.00 90.12 90.00°
Space group Pm (No. 6)
Inequivalent atoms, fractional coordinates:
Ge: 0.0000 0.0000 0.0000 [1 per cell]
Ge: 0.1213 0.5000 0.5007 [1 per cell]
Ge: 0.4939 0.0000 0.3307 [1 per cell]
Ge: 0.6234 0.5000 0.8303 [1 per cell]
Pd: 0.8076 0.5000 0.2214 [1 per cell]
Pt: 0.3092 0.5000 0.1111 [1 per cell]
Pt: 0.3120 0.0000 0.7224 [1 per cell]
Pt: 0.8105 0.0000 0.6052 [1 per cell]

***

Starting from a structure optimized by DFT (PBE), the PXRD pattern of NdGd2Si4Ag4 was computed for λ = 1.5418 Å (Cu Kα).

Main lines, sorted by position (10 to 80 degrees two-theta):
d/Å	Position (°2θ)	I_rel	(hkl)
3.675	24.22	17	1 1 0
3.271	27.26	20	1 1 2
3.199	27.89	19	1 0 3
2.684	33.39	100	1 2 1
2.660	33.69	31	0 1 5
2.568	34.94	90	1 1 4
2.391	37.62	34	0 0 6
2.372	37.93	40	1 2 3
2.151	42.01	41	2 0 0
2.115	42.76	44	0 3 3
1.600	57.61	24	0 2 8
1.508	61.49	29	2 3 3

Structural model:
Cell: 4.3017 7.0727 14.3555 Å, 90.00 90.00 90.00°
Space group Immm (No. 71)
Inequivalent atoms, fractional coordinates:
Nd: 0.0000 0.0000 0.0000 [2 per cell]
Gd: 0.0000 0.5000 0.1258 [4 per cell]
Si: 0.0000 0.0000 0.2178 [4 per cell]
Si: 0.0000 0.1725 0.5000 [4 per cell]
Ag: 0.0000 0.3024 0.3310 [8 per cell]

***

Starting from a structure optimized by DFT (PBE), the PXRD pattern of CsAgI2Cl was computed for λ = 1.5418 Å (Cu Kα).

Main lines, sorted by position (10 to 80 degrees two-theta):
d/Å	Position (°2θ)	I_rel	(hkl)
5.728	15.47	39	0 0 2
4.085	21.75	78	1 1 2
3.345	26.65	93	2 0 2
2.914	30.68	100	2 2 0
2.864	31.23	46	0 0 4
2.597	34.53	20	2 2 2
2.372	37.93	35	3 1 2
2.061	43.94	35	4 0 0
2.043	44.35	66	2 2 4
1.754	52.13	25	4 2 2
1.673	54.89	34	4 0 4
1.303	72.53	14	6 2 0

Structural model:
Cell: 8.2423 8.2423 11.4560 Å, 90.00 90.00 90.00°
Space group I4/mmm (No. 139)
Inequivalent atoms, fractional coordinates:
Cs: 0.0000 0.5000 0.2500 [4 per cell]
Ag: 0.0000 0.0000 0.0000 [2 per cell]
Ag: 0.0000 0.0000 0.5000 [2 per cell]
I: 0.2346 0.2346 0.0000 [8 per cell]
Cl: 0.0000 0.0000 0.2888 [4 per cell]